Computed powder diffractogram
Compound: Na2LiSnS4
Radiation: Cu Kα, 1.54184 Å
Structure: a cell relaxed with GGA-PBE
Intensities are scaled so that the largest is 100.

Principal peaks in the range 2θ from 15° to 90°, low angle first:
2θ (°), I (rel.), (hkl)
17.53, 35.7, 1 1 0
18.13, 100.0, 1 0 1
30.96, 74.6, 2 1 1
35.48, 35.3, 2 2 0
36.73, 78.6, 2 0 2
49.75, 22.2, 2 1 3

Structure:
```
data_Na2LiSnS4
_chemical_formula_sum 'Na4 Li2 Sn2 S8'
_cell_length_a 7.156
_cell_length_b 7.156
_cell_length_c 6.707
_cell_angle_alpha 90.00
_cell_angle_beta 90.00
_cell_angle_gamma 90.00
_symmetry_space_group_name_H-M 'I -4 2 m'
_symmetry_Int_Tables_number 121
_symmetry_space_group_name_Hall 'I -4 2'
loop_
_atom_site_label
_atom_site_type_symbol
_atom_site_fract_x
_atom_site_fract_y
_atom_site_fract_z
Na1 Na 0.000 0.500 0.000
Li1 Li 0.000 0.000 0.000
Sn1 Sn 0.000 0.000 0.500
S1 S 0.184 0.184 0.270
```